1.
Calculated XRD peak list
Compound: NaEuCr4O12
Radiation: CuKα
Structure: DFT lattice parameters and positions (PBE+U)

Structure:
```
data_NaEuCr4O12
_chemical_formula_sum 'Na2 Eu2 Cr8 O24'
_cell_length_a 7.4770
_cell_length_b 7.2946
_cell_length_c 7.7380
_cell_angle_alpha 90.00
_cell_angle_beta 90.00
_cell_angle_gamma 90.00
_symmetry_space_group_name_H-M 'A m m 2'
_symmetry_Int_Tables_number 38
loop_
_symmetry_equiv_pos_as_xyz
'x,y,z'
'-x,-y,z'
'-x,y,z'
'x,-y,z'
'x,y+1/2,z+1/2'
'-x,-y+1/2,z+1/2'
'-x,y+1/2,z+1/2'
'x,-y+1/2,z+1/2'
loop_
_atom_site_label
_atom_site_type_symbol
_atom_site_fract_x
_atom_site_fract_y
_atom_site_fract_z
Na1 Na 0.0000 0.0000 0.0000
Eu1 Eu 0.5000 0.0000 0.4708
Cr1 Cr 0.2420 0.2454 0.7220
O1 O 0.0000 0.2088 0.2344
O2 O 0.2084 0.0000 0.7839
O3 O 0.2518 0.2033 0.4958
O4 O 0.2944 0.0000 0.2145
O5 O 0.5000 0.2086 0.7457
```

Most intense lines, 2θ = 10–90°, in order of rising 2θ:
| Position (°2θ) | intensity | h k l |
| --- | --- | --- |
| 11.84 | 36 | 1 0 0 |
| 16.70 | 44 | 0 1 1 |
| 20.52 | 100 | 1 1 1 |
| 33.33 | 46 | 2 0 2 |
| 33.77 | 52 | 0 2 2 |
| 34.35 | 48 | 2 2 0 |
| 46.97 | 24 | 0 0 4 |
| 48.70 | 25 | 4 0 0 |
| 60.59 | 22 | 4 2 2 |
| 61.44 | 21 | 2 4 2 |

***

2.
Calculated XRD peak list
Compound: SmEuNbCrO6
Radiation: CuKα
Structure: DFT lattice parameters and positions (PBE+U)

Structure:
```
data_SmEuNbCrO6
_chemical_formula_sum 'Sm4 Eu4 Nb4 Cr4 O24'
_cell_length_a 7.9829
_cell_length_b 7.9829
_cell_length_c 7.9829
_cell_angle_alpha 90.00
_cell_angle_beta 90.00
_cell_angle_gamma 90.00
_symmetry_space_group_name_H-M 'F -4 3 m'
_symmetry_Int_Tables_number 216
_symmetry_space_group_name_Hall 'F -4 2 3'
loop_
_atom_site_label
_atom_site_type_symbol
_atom_site_fract_x
_atom_site_fract_y
_atom_site_fract_z
Sm1 Sm 0.0000 0.0000 0.0000
Eu1 Eu 0.0000 0.0000 0.5000
Nb1 Nb 0.2500 0.2500 0.7500
Cr1 Cr 0.2500 0.2500 0.2500
O1 O 0.0032 0.2500 0.2500
```

Most intense lines, 2θ = 10–90°, in order of rising 2θ:
| Position (°2θ) | intensity | h k l |
| --- | --- | --- |
| 22.27 | 9 | 2 0 0 |
| 31.70 | 100 | 2 2 0 |
| 39.09 | 14 | 2 2 2 |
| 45.45 | 31 | 4 0 0 |
| 51.17 | 5 | 4 2 0 |
| 56.47 | 39 | 4 2 2 |
| 66.23 | 18 | 4 4 0 |
| 75.29 | 17 | 6 2 0 |
| 79.67 | 4 | 6 2 2 |
| 83.99 | 6 | 4 4 4 |

***

3.
Calculated XRD peak list
Compound: EuNbCrSnO6
Radiation: CuKα
Structure: DFT lattice parameters and positions (PBE+U)

Structure:
```
data_EuNbCrSnO6
_chemical_formula_sum 'Eu4 Nb4 Cr4 Sn4 O24'
_cell_length_a 8.0744
_cell_length_b 8.0744
_cell_length_c 8.0744
_cell_angle_alpha 90.00
_cell_angle_beta 90.00
_cell_angle_gamma 90.00
_symmetry_space_group_name_H-M 'F -4 3 m'
_symmetry_Int_Tables_number 216
_symmetry_space_group_name_Hall 'F -4 2 3'
loop_
_atom_site_label
_atom_site_type_symbol
_atom_site_fract_x
_atom_site_fract_y
_atom_site_fract_z
Eu1 Eu 0.0000 0.0000 0.0000
Nb1 Nb 0.2500 0.2500 0.2500
Cr1 Cr 0.2500 0.2500 0.7500
Sn1 Sn 0.0000 0.0000 0.5000
O1 O 0.0007 0.2500 0.7500
```

Most intense lines, 2θ = 10–90°, in order of rising 2θ:
| Position (°2θ) | intensity | h k l |
| --- | --- | --- |
| 19.04 | 4 | 1 1 1 |
| 22.02 | 5 | 2 0 0 |
| 31.33 | 100 | 2 2 0 |
| 38.63 | 12 | 2 2 2 |
| 44.90 | 32 | 4 0 0 |
| 55.78 | 40 | 4 2 2 |
| 65.38 | 19 | 4 4 0 |
| 74.29 | 17 | 6 2 0 |
| 78.59 | 4 | 6 2 2 |
| 82.83 | 7 | 4 4 4 |